Calculated powder XRD pattern of Si for copper Kα, from a crystal structure in the Materials Project, relaxed with PBE.
Peak positions follow from Bragg's law for the DFT cell and can differ from measured ones.

The 10 most intense peaks (2θ = 15–90°), by intensity:
| Position (°2θ) | I/Imax |
| --- | --- |
| 26.65 | 100.0 |
| 47.06 | 59.0 |
| 54.90 | 35.4 |
| 38.04 | 20.8 |
| 18.76 | 11.8 |
| 42.74 | 11.8 |
| 87.49 | 11.7 |
| 75.15 | 11.7 |
| 58.54 | 11.4 |
| 78.28 | 10.0 |

Crystal structure
```
data_Si
_cell_length_a 6.6901
_cell_length_b 6.6901
_cell_length_c 3.8621
_cell_angle_alpha 90.00
_cell_angle_beta 90.00
_cell_angle_gamma 90.00
_symmetry_space_group_name_H-M 'I 4/m m m'
_symmetry_Int_Tables_number 139
_symmetry_space_group_name_Hall '-I 4 2'
loop_
_atom_site_label
_atom_site_fract_x
_atom_site_fract_y
_atom_site_fract_z
Si1 0.1786 0.1786 0.0000
```

---

Calculated powder XRD pattern of CaS2O10 for copper Kα, from a crystal structure in the Materials Project, relaxed with PBE.
Peak positions follow from Bragg's law for the DFT cell and can differ from measured ones.

The 10 most intense peaks (2θ = 15–90°), by intensity:
| Position (°2θ) | I/Imax |
| --- | --- |
| 18.50 | 100.0 |
| 31.27 | 31.0 |
| 16.14 | 29.0 |
| 25.97 | 25.7 |
| 31.00 | 21.4 |
| 31.54 | 17.4 |
| 52.75 | 15.7 |
| 21.91 | 15.1 |
| 27.12 | 12.4 |
| 44.27 | 12.1 |

Crystal structure
```
data_CaS2O10
_cell_length_a 6.7017
_cell_length_b 6.7017
_cell_length_c 17.0201
_cell_angle_alpha 90.00
_cell_angle_beta 90.00
_cell_angle_gamma 120.00
_symmetry_space_group_name_H-M 'P 64'
_symmetry_Int_Tables_number 172
_symmetry_space_group_name_Hall 'P 64'
loop_
_atom_site_label
_atom_site_fract_x
_atom_site_fract_y
_atom_site_fract_z
Ca1 0.0000 0.0000 0.0000
S1 0.0902 0.3954 0.1659
O1 0.0088 0.7566 0.0961
O2 0.0171 0.2537 0.2384
O3 0.1845 0.6852 0.6601
O4 0.1873 0.5046 0.6663
O5 0.2330 0.6687 0.8290
```